For Ac2SmP2N6, DFT lattice parameters and positions (GGA-PBE) gives the calculated powder diffractogram in this record (λ = 1.5418 Å (Cu Kα)).
Peak positions follow from Bragg's law for the DFT cell and can differ from measured ones.

Top 10 peaks for 2θ = 15–90°, in order of rising 2θ:
hkl  2θ (°)  d/Å  intensity
1 1 0  18.7  4.734  41
1 1 -1  20.5  4.343  60
2 0 -2  26.2  3.398  48
1 1 1  26.9  3.318  85
1 1 -2  30.5  2.934  67
3 1 -1  31.1  2.876  100
0 2 0  31.7  2.821  55
2 2 -2  41.6  2.171  44
2 2 1  44.7  2.026  37
3 1 2  56.1  1.639  56

Structure:
abc: 10.033 5.642 6.971
angles: 90.00 119.81 90.00
Space group C2/m (No. 12)
Asymmetric unit:
Ac: 0.205 0.000 0.186 [4 per cell]
Sm: 0.000 0.000 0.500 [2 per cell]
P: 0.048 0.500 0.265 [4 per cell]
N: 0.046 0.256 0.815 [8 per cell]
N: 0.229 0.500 0.361 [4 per cell]